(1)
Diffraction record for MnHPd5. The powder X-ray diffraction pattern is calculated, not measured: it uses a crystal structure in Alexandria, relaxed with GGA-PBE and Cu Kα (weighted mean of Kα1 and Kα2).
Neutral-atom scattering factors, no anomalous dispersion.

Atomic structure:
Unit cell a=3.853 b=3.853 c=6.620 alpha=90.00 beta=90.00 gamma=90.00
Space group P4/mmm (No. 123)
Unique sites:
Mn1 0.000 0.000 0.000 (multiplicity 1)
H1 0.500 0.500 0.500 (multiplicity 1)
Pd1 0.000 0.500 0.300 (multiplicity 4)
Pd2 0.500 0.500 0.000 (multiplicity 1)

Top 8 peaks for 10° ≤ 2θ ≤ 80°, sorted by position:
- 26.9 deg, rel. 11
- 32.9 deg, rel. 29
- 35.6 deg, rel. 57
- 40.9 deg, rel. 29
- 43.0 deg, rel. 100
- 47.2 deg, rel. 51
- 64.2 deg, rel. 29
- 68.9 deg, rel. 16

***

(2)
Diffraction record for Cr5Os. The powder X-ray diffraction pattern is calculated, not measured: it uses a crystal structure in Alexandria, relaxed with GGA-PBE and Cu Kα (weighted mean of Kα1 and Kα2).
Neutral-atom scattering factors, no anomalous dispersion.

Atomic structure:
Unit cell a=9.147 b=2.884 c=5.807 alpha=90.00 beta=108.53 gamma=90.00
Space group C2/m (No. 12)
Unique sites:
Cr1 0.000 0.000 0.000 (multiplicity 2)
Cr2 0.170 0.500 0.844 (multiplicity 4)
Cr3 0.173 0.500 0.327 (multiplicity 4)
Os1 0.000 0.000 0.500 (multiplicity 2)

Top 8 peaks for 10° ≤ 2θ ≤ 80°, sorted by position:
- 16.1 deg, rel. 22
- 20.5 deg, rel. 13
- 21.7 deg, rel. 14
- 32.5 deg, rel. 11
- 32.7 deg, rel. 11
- 35.1 deg, rel. 10
- 44.2 deg, rel. 100
- 44.4 deg, rel. 50

***

(3)
Diffraction record for ReMo3W6. The powder X-ray diffraction pattern is calculated, not measured: it uses a crystal structure in Alexandria, relaxed with GGA-PBE and Cu Kα (weighted mean of Kα1 and Kα2).
Neutral-atom scattering factors, no anomalous dispersion.

Atomic structure:
Unit cell a=2.718 b=10.475 c=11.415 alpha=95.49 beta=93.34 gamma=94.56
Space group P-1 (No. 2)
Unique sites:
Re1 0.043 0.171 0.403 (multiplicity 2)
Mo1 0.027 0.672 0.396 (multiplicity 2)
Mo2 0.057 0.020 0.195 (multiplicity 2)
Mo3 0.120 0.375 0.001 (multiplicity 2)
W1 0.205 0.728 0.799 (multiplicity 2)
W2 0.288 0.425 0.401 (multiplicity 2)
W3 0.305 0.772 0.198 (multiplicity 2)
W4 0.357 0.074 0.600 (multiplicity 2)
W5 0.366 0.126 0.001 (multiplicity 2)
W6 0.430 0.477 0.801 (multiplicity 2)

Top 8 peaks for 10° ≤ 2θ ≤ 80°, sorted by position:
- 37.2 deg, rel. 13
- 39.6 deg, rel. 66
- 39.8 deg, rel. 100
- 40.1 deg, rel. 63
- 40.5 deg, rel. 39
- 40.8 deg, rel. 32
- 71.6 deg, rel. 12
- 73.5 deg, rel. 19

***

(4)
Diffraction record for PmTmO. The powder X-ray diffraction pattern is calculated, not measured: it uses a crystal structure in Alexandria, relaxed with GGA-PBE and Cu Kα (weighted mean of Kα1 and Kα2).
Neutral-atom scattering factors, no anomalous dispersion.

Atomic structure:
Unit cell a=3.5222 b=3.5222 c=5.9345 alpha=90.00 beta=90.00 gamma=120.00
Space group P3m1 (No. 156)
Unique sites:
Pm1 0.0000 0.0000 0.0000 (multiplicity 1)
Tm1 0.3333 0.6667 0.4676 (multiplicity 1)
O1 0.6667 0.3333 0.2773 (multiplicity 1)

Top 8 peaks for 10° ≤ 2θ ≤ 80°, sorted by position:
- 29.3 deg, rel. 18
- 30.1 deg, rel. 25
- 33.0 deg, rel. 100
- 42.5 deg, rel. 21
- 51.9 deg, rel. 21
- 55.4 deg, rel. 22
- 61.2 deg, rel. 21
- 62.9 deg, rel. 16

***

(5)
Diffraction record for LiGaCu5. The powder X-ray diffraction pattern is calculated, not measured: it uses a crystal structure in Alexandria, relaxed with GGA-PBE and Cu Kα (weighted mean of Kα1 and Kα2).
Neutral-atom scattering factors, no anomalous dispersion.

Atomic structure:
Unit cell a=7.176 b=5.194 c=9.904 alpha=90.00 beta=90.00 gamma=90.00
Space group Cmcm (No. 63)
Unique sites:
Li1 0.000 0.135 0.250 (multiplicity 4)
Ga1 0.000 0.500 0.000 (multiplicity 4)
Cu1 0.000 0.410 0.750 (multiplicity 4)
Cu2 0.216 0.148 0.615 (multiplicity 16)

Top 8 peaks for 10° ≤ 2θ ≤ 80°, sorted by position:
- 21.1 deg, rel. 26
- 23.0 deg, rel. 21
- 41.6 deg, rel. 27
- 42.4 deg, rel. 26
- 43.0 deg, rel. 14
- 44.0 deg, rel. 45
- 44.4 deg, rel. 100
- 50.9 deg, rel. 24

***

(6)
Diffraction record for NaNiBr. The powder X-ray diffraction pattern is calculated, not measured: it uses a crystal structure in Alexandria, relaxed with GGA-PBE and Cu Kα (weighted mean of Kα1 and Kα2).
Neutral-atom scattering factors, no anomalous dispersion.

Atomic structure:
Unit cell a=5.045 b=8.474 c=6.662 alpha=90.00 beta=90.00 gamma=90.00
Space group Imma (No. 74)
Unique sites:
Na1 0.000 0.000 0.000 (multiplicity 4)
Ni1 0.250 0.250 0.250 (multiplicity 4)
Br1 0.000 0.250 0.533 (multiplicity 4)

Top 8 peaks for 10° ≤ 2θ ≤ 80°, sorted by position:
- 16.9 deg, rel. 46
- 21.0 deg, rel. 90
- 22.1 deg, rel. 33
- 30.6 deg, rel. 100
- 39.7 deg, rel. 30
- 45.1 deg, rel. 41
- 50.2 deg, rel. 29
- 63.8 deg, rel. 27

***

(7)
Diffraction record for Pm2Al4Cu3Au. The powder X-ray diffraction pattern is calculated, not measured: it uses a crystal structure in Alexandria, relaxed with GGA-PBE and Cu Kα (weighted mean of Kα1 and Kα2).
Neutral-atom scattering factors, no anomalous dispersion.

Atomic structure:
Unit cell a=4.258 b=4.258 c=10.269 alpha=90.00 beta=90.00 gamma=90.00
Space group P-4m2 (No. 115)
Unique sites:
Pm1 0.000 0.500 0.248 (multiplicity 2)
Al1 0.000 0.000 0.000 (multiplicity 1)
Al2 0.000 0.500 0.637 (multiplicity 2)
Al3 0.500 0.500 0.000 (multiplicity 1)
Cu1 0.000 0.500 0.873 (multiplicity 2)
Cu2 0.500 0.500 0.500 (multiplicity 1)
Au1 0.000 0.000 0.500 (multiplicity 1)

Top 8 peaks for 10° ≤ 2θ ≤ 80°, sorted by position:
- 22.6 deg, rel. 29
- 31.0 deg, rel. 26
- 33.6 deg, rel. 52
- 34.5 deg, rel. 100
- 42.5 deg, rel. 46
- 49.3 deg, rel. 20
- 55.2 deg, rel. 25
- 72.6 deg, rel. 23

***

(8)
Diffraction record for Na4ZnBi3. The powder X-ray diffraction pattern is calculated, not measured: it uses a crystal structure in Alexandria, relaxed with GGA-PBE and Cu Kα (weighted mean of Kα1 and Kα2).
Neutral-atom scattering factors, no anomalous dispersion.

Atomic structure:
Unit cell a=12.415 b=12.415 c=6.063 alpha=90.00 beta=90.00 gamma=90.00
Space group I4/mcm (No. 140)
Unique sites:
Na1 0.087 0.226 0.000 (multiplicity 16)
Zn1 0.000 0.500 0.250 (multiplicity 4)
Bi1 0.000 0.000 0.250 (multiplicity 4)
Bi2 0.142 0.358 0.500 (multiplicity 8)

Top 8 peaks for 10° ≤ 2θ ≤ 80°, sorted by position:
- 21.7 deg, rel. 100
- 22.6 deg, rel. 70
- 29.8 deg, rel. 33
- 32.2 deg, rel. 40
- 32.9 deg, rel. 36
- 41.6 deg, rel. 51
- 41.9 deg, rel. 43
- 61.0 deg, rel. 32

***

(9)
Diffraction record for TaTe4Pd. The powder X-ray diffraction pattern is calculated, not measured: it uses a crystal structure in Alexandria, relaxed with GGA-PBE and Cu Kα (weighted mean of Kα1 and Kα2).
Neutral-atom scattering factors, no anomalous dispersion.

Atomic structure:
Unit cell a=8.966 b=15.360 c=6.046 alpha=90.00 beta=130.59 gamma=90.00
Space group C2/c (No. 15)
Unique sites:
Ta1 0.000 0.047 0.250 (multiplicity 4)
Te1 0.183 0.196 0.226 (multiplicity 8)
Te2 0.213 0.442 0.153 (multiplicity 8)
Pd1 0.000 0.306 0.750 (multiplicity 4)

Top 8 peaks for 10° ≤ 2θ ≤ 80°, sorted by position:
- 14.2 deg, rel. 33
- 23.1 deg, rel. 52
- 30.3 deg, rel. 74
- 30.8 deg, rel. 100
- 32.6 deg, rel. 41
- 39.2 deg, rel. 40
- 43.6 deg, rel. 37
- 48.6 deg, rel. 39

***

(10)
Diffraction record for Pu2Hf2O7. The powder X-ray diffraction pattern is calculated, not measured: it uses a crystal structure in Alexandria, relaxed with GGA-PBE and Cu Kα (weighted mean of Kα1 and Kα2).
Neutral-atom scattering factors, no anomalous dispersion.

Atomic structure:
Unit cell a=10.639 b=10.639 c=10.639 alpha=90.00 beta=90.00 gamma=90.00
Space group Fd-3m (No. 227, origin choice 2)
Unique sites:
Pu1 0.000 0.000 0.000 (multiplicity 16)
Hf1 0.000 0.000 0.500 (multiplicity 16)
O1 0.084 0.375 0.875 (multiplicity 48)
O2 0.125 0.125 0.125 (multiplicity 8)

Top 8 peaks for 10° ≤ 2θ ≤ 80°, sorted by position:
- 29.1 deg, rel. 100
- 33.7 deg, rel. 39
- 36.8 deg, rel. 2
- 48.4 deg, rel. 45
- 57.5 deg, rel. 46
- 60.3 deg, rel. 12
- 70.9 deg, rel. 7
- 78.4 deg, rel. 19